Simulated powder diffractogram
Compound: SrNiO3
Radiation: CuKα
Structure: DFT lattice parameters and positions (GGA+U)

Crystal structure
```
SrNiO3
1.0
2.7198 -2.7305 0.0000
2.7198 2.7305 0.0000
-0.0007 0.0000 3.8393
Sr Ni O
1 1 3
Cartesian
0.0000 0.0000 0.0000
2.7194 -0.0576 1.9197
2.7198 0.0744 0.0000
1.3705 -1.3478 1.8476
4.0683 -1.3478 1.9917
```

Most intense lines, 10 to 80 degrees two-theta, by angle:
two_theta	I/Imax
32.80	200
32.93	1000
40.54	62
40.65	59
47.17	298
47.36	147
58.64	152
58.82	301
68.76	42
69.06	211
78.54	97
78.80	64

=====

Simulated powder diffractogram
Compound: SrNiO3
Radiation: CuKα
Structure: DFT lattice parameters and positions (GGA+U)

Crystal structure
```
SrNiO3
1.0
5.5022 0.0000 0.0000
-2.7480 4.7685 0.0000
-0.0205 -3.1585 9.0893
Sr Ni O
4 4 12
Cartesian
0.0000 0.0000 0.0000
-0.0126 0.0154 6.8139
2.7408 -1.5793 4.5446
2.7463 1.5946 2.2754
-0.0068 0.0079 3.4262
0.0005 3.1791 1.0823
2.7331 -1.5691 8.0070
2.7404 1.6021 5.6630
-0.0103 -1.5793 4.5446
-1.3740 2.3843 0.0000
-1.3843 0.8050 4.5446
-1.3999 2.3912 6.7519
-0.0090 1.5871 2.3383
1.3601 -0.7778 2.3322
2.7511 0.0000 0.0000
1.3771 2.3843 0.0000
1.3668 0.8050 4.5446
1.3735 2.3878 6.7571
2.7427 0.0229 6.7509
4.1335 -0.7812 2.3373
```

Most intense lines, 10 to 80 degrees two-theta, by angle:
two_theta	I/Imax
32.29	1000
32.53	981
40.08	149
46.49	747
57.42	191
57.85	250
58.02	310
67.51	144
68.14	212
76.94	81
77.11	80
77.40	107

=====

Simulated powder diffractogram
Compound: SrNiO3
Radiation: CuKα
Structure: DFT lattice parameters and positions (GGA+U)

Crystal structure
```
SrNiO3
1.0
3.8934 0.0000 0.0000
0.0000 5.4838 0.0000
0.0000 0.0000 11.1297
Sr Ni O
4 4 12
Cartesian
0.0000 0.0000 0.0000
0.0000 0.0000 5.5503
0.0000 2.7419 2.8067
0.0000 2.7419 8.3745
1.9467 0.0000 2.7659
1.9467 0.0000 8.3451
1.9467 2.7419 0.0365
1.9467 2.7419 5.5856
0.0000 0.0000 2.7350
0.0000 0.0000 8.2707
0.0000 2.7419 0.0652
0.0000 2.7419 5.6607
1.9467 1.3714 1.3998
1.9467 1.3690 4.2490
1.9467 1.3711 6.9658
1.9467 1.3727 9.6817
1.9467 4.1123 1.3998
1.9467 4.1148 4.2490
1.9467 4.1126 6.9658
1.9467 4.1111 9.6817
```

Most intense lines, 10 to 80 degrees two-theta, by angle:
two_theta	I/Imax
32.17	255
32.47	1000
32.66	246
39.82	76
46.50	378
46.66	188
57.55	194
57.80	95
58.15	281
67.99	216
77.27	82
77.50	81

=====

Simulated powder diffractogram
Compound: SrNiO3
Radiation: CuKα
Structure: DFT lattice parameters and positions (GGA+U)

Crystal structure
```
SrNiO3
1.0
3.8772 -7.8207 0.0000
3.8772 7.8207 0.0000
0.0000 0.0000 3.8762
Sr Ni O
4 4 12
Cartesian
1.9386 3.9104 0.0000
1.9171 0.0000 0.0000
1.9386 -3.9104 0.0000
5.8373 0.0000 0.0000
3.8772 5.8900 1.9381
3.8772 1.9336 1.9381
3.8772 -1.9336 1.9381
3.8772 -5.8900 1.9381
0.0000 0.0000 1.9381
1.8472 2.0045 1.9381
3.8772 5.8511 0.0000
3.8772 3.8830 1.9381
1.8472 -2.0045 1.9381
3.8772 1.9191 0.0000
3.8772 0.0000 1.9381
3.8772 -1.9191 0.0000
5.9072 2.0045 1.9381
3.8772 -3.8830 1.9381
3.8772 -5.8511 0.0000
5.9072 -2.0045 1.9381
```

Most intense lines, 10 to 80 degrees two-theta, by angle:
two_theta	I/Imax
32.52	1000
32.67	495
40.17	150
46.44	190
46.87	370
57.94	191
58.21	373
68.12	215
68.45	106
77.21	82
77.88	121
77.94	40